# 1
Theoretical X-ray diffraction stick pattern
Compound: TbErTlHg
Radiation: Cu Kα (weighted mean of Kα1 and Kα2)
Structure: a cell relaxed with PBE
Kinematic intensities with the Lorentz-polarization factor, no thermal factor.

Crystal structure
abc: 3.755 3.755 7.503
angles: 90.00 90.00 90.00
Space group P4mm (No. 99)
Inequivalent atoms, fractional coordinates:
Tb1 0.000 0.000 0.000 x1
Er1 0.000 0.000 0.482 x1
Tl1 0.500 0.500 0.738 x1
Hg1 0.500 0.500 0.248 x1

Largest 6 diffraction maxima, by intensity, 2θ = 15–90°:
Position (°2θ)	I_rel
33.8	1000
60.4	378
48.5	182
81.0	165
71.0	117
23.7	13

***

# 2
Theoretical X-ray diffraction stick pattern
Compound: ErHgTe2
Radiation: Cu Kα (weighted mean of Kα1 and Kα2)
Structure: a cell relaxed with PBE
Kinematic intensities with the Lorentz-polarization factor, no thermal factor.

Crystal structure
abc: 4.4528 4.4528 27.7213
angles: 90.00 90.00 120.00
Space group P3_221 (No. 154)
Inequivalent atoms, fractional coordinates:
Er1 0.0000 0.6710 0.3333 x3
Hg1 0.0000 0.6640 0.8333 x3
Te1 0.0044 0.6669 0.7262 x6

Largest 6 diffraction maxima, by intensity, 2θ = 15–90°:
Position (°2θ)	I_rel
24.0	1000
34.8	592
40.5	542
40.1	516
23.3	318
73.4	200

***

# 3
Theoretical X-ray diffraction stick pattern
Compound: Er2ThHg5
Radiation: Cu Kα (weighted mean of Kα1 and Kα2)
Structure: a cell relaxed with PBE
Kinematic intensities with the Lorentz-polarization factor, no thermal factor.

Crystal structure
abc: 5.248 5.248 14.614
angles: 90.00 90.00 90.00
Space group I4/mmm (No. 139)
Inequivalent atoms, fractional coordinates:
Er1 0.000 0.000 0.234 x4
Th1 0.000 0.000 0.500 x2
Hg1 0.000 0.000 0.000 x2
Hg2 0.000 0.500 0.130 x8

Largest 6 diffraction maxima, by intensity, 2θ = 15–90°:
Position (°2θ)	I_rel
34.4	1000
34.2	533
61.4	387
49.1	195
61.9	168
72.6	107

***

# 4
Theoretical X-ray diffraction stick pattern
Compound: Er3ThHg2
Radiation: Cu Kα (weighted mean of Kα1 and Kα2)
Structure: a cell relaxed with PBE
Kinematic intensities with the Lorentz-polarization factor, no thermal factor.

Crystal structure
abc: 3.633 3.633 12.273
angles: 90.00 90.00 90.00
Space group P4/mmm (No. 123)
Inequivalent atoms, fractional coordinates:
Er1 0.000 0.000 0.000 x1
Er2 0.000 0.000 0.307 x2
Th1 0.500 0.500 0.500 x1
Hg1 0.500 0.500 0.153 x2

Largest 6 diffraction maxima, by intensity, 2θ = 15–90°:
Position (°2θ)	I_rel
33.0	1000
34.9	472
61.4	343
50.2	171
57.6	155
69.2	91

***

# 5
Theoretical X-ray diffraction stick pattern
Compound: Er7Tl5Hg
Radiation: Cu Kα (weighted mean of Kα1 and Kα2)
Structure: a cell relaxed with PBE
Kinematic intensities with the Lorentz-polarization factor, no thermal factor.

Crystal structure
abc: 6.658 10.615 10.550
angles: 90.00 90.00 90.00
Space group Imm2 (No. 44)
Inequivalent atoms, fractional coordinates:
Er1 0.000 0.000 0.000 x2
Er2 0.000 0.000 0.358 x2
Er3 0.000 0.318 0.626 x4
Er4 0.000 0.322 0.108 x4
Er5 0.000 0.500 0.360 x2
Tl1 0.000 0.500 0.866 x2
Tl2 0.246 0.236 0.868 x8
Hg1 0.000 0.000 0.656 x2

Largest 6 diffraction maxima, by intensity, 2θ = 15–90°:
Position (°2θ)	I_rel
36.1	1000
31.8	843
33.3	666
34.0	456
33.8	291
62.2	286

***

# 6
Theoretical X-ray diffraction stick pattern
Compound: Er2TlHg3
Radiation: Cu Kα (weighted mean of Kα1 and Kα2)
Structure: a cell relaxed with PBE
Kinematic intensities with the Lorentz-polarization factor, no thermal factor.

Crystal structure
abc: 4.943 4.067 7.933
angles: 90.00 107.83 90.00
Space group P2/m (No. 10)
Inequivalent atoms, fractional coordinates:
Er1 0.159 0.000 0.317 x2
Tl1 0.500 0.000 0.000 x1
Hg1 0.000 0.500 0.000 x1
Hg2 0.318 0.500 0.639 x2

Largest 6 diffraction maxima, by intensity, 2θ = 15–90°:
Position (°2θ)	I_rel
33.6	1000
33.7	993
36.4	419
35.7	387
44.6	245
58.8	212